# 1
Mo4Cl5: calculated powder diffraction line list (λ = 1.5418 Å (Cu Kα)), based on a cell relaxed with GGA-PBE.

Top 10 peaks for 2θ from 5° to 70°, low angle first:
d = 7.198 Å, 2θ 12.30, I = 71
d = 5.089 Å, 2θ 17.42, I = 16
d = 2.607 Å, 2θ 34.40, I = 9
d = 2.399 Å, 2θ 37.49, I = 52
d = 2.321 Å, 2θ 38.81, I = 100
d = 2.276 Å, 2θ 39.60, I = 7
d = 1.950 Å, 2θ 46.57, I = 18
d = 1.696 Å, 2θ 54.06, I = 15
d = 1.590 Å, 2θ 57.99, I = 8
d = 1.370 Å, 2θ 68.51, I = 27

Crystal structure
abc: 7.371 7.371 7.371
angles: 92.67 92.67 155.08
Fractional coordinates of all 9 atoms:
Mo1 0.000 0.355 0.355
Mo2 0.000 0.645 0.645
Mo3 0.355 0.000 0.355
Mo4 0.645 0.000 0.645
Cl1 0.000 0.000 0.000
Cl2 0.336 0.336 0.673
Cl3 0.336 0.664 0.000
Cl4 0.664 0.336 0.000
Cl5 0.664 0.664 0.327


# 2
TaCu2Ni8: calculated powder diffraction line list (λ = 1.5418 Å (Cu Kα)), based on a cell relaxed with GGA-PBE.

Top 10 peaks for 2θ from 5° to 70°, low angle first:
d = 5.844 Å, 2θ 15.16, I = 18
d = 3.667 Å, 2θ 24.27, I = 22
d = 3.197 Å, 2θ 27.91, I = 17
d = 2.997 Å, 2θ 29.82, I = 18
d = 2.645 Å, 2θ 33.89, I = 20
d = 2.043 Å, 2θ 44.35, I = 100
d = 2.014 Å, 2θ 45.01, I = 94
d = 1.948 Å, 2θ 46.63, I = 47
d = 1.909 Å, 2θ 47.63, I = 41
d = 1.364 Å, 2θ 68.85, I = 33

Crystal structure
abc: 6.068 6.068 3.819
angles: 90.00 90.00 105.64
Fractional coordinates of all 11 atoms:
Ta1 0.000 0.000 0.000
Cu1 0.380 0.620 0.500
Cu2 0.620 0.380 0.500
Ni1 0.036 0.306 0.500
Ni2 0.251 0.749 0.000
Ni3 0.306 0.036 0.500
Ni4 0.336 0.336 0.000
Ni5 0.664 0.664 0.000
Ni6 0.694 0.964 0.500
Ni7 0.749 0.251 0.000
Ni8 0.964 0.694 0.500


# 3
Cd2Ag7Sn2Sb: calculated powder diffraction line list (λ = 1.5418 Å (Cu Kα)), based on a cell relaxed with GGA-PBE.

Top 10 peaks for 2θ from 5° to 70°, low angle first:
d = 3.105 Å, 2θ 28.75, I = 18
d = 2.589 Å, 2θ 34.65, I = 50
d = 2.480 Å, 2θ 36.23, I = 100
d = 2.300 Å, 2θ 39.16, I = 23
d = 2.211 Å, 2θ 40.81, I = 31
d = 2.184 Å, 2θ 41.33, I = 33
d = 2.155 Å, 2θ 41.91, I = 19
d = 2.075 Å, 2θ 43.62, I = 16
d = 1.554 Å, 2θ 59.48, I = 16
d = 1.432 Å, 2θ 65.16, I = 16

Crystal structure
abc: 4.378 4.378 13.267
angles: 90.05 90.05 93.68
Fractional coordinates of all 12 atoms:
Cd1 0.000 0.000 0.187
Cd2 0.000 0.000 0.813
Ag1 0.000 0.000 0.500
Ag2 0.000 0.500 0.341
Ag3 0.000 0.500 0.659
Ag4 0.246 0.246 0.000
Ag5 0.500 0.000 0.341
Ag6 0.500 0.000 0.659
Ag7 0.754 0.754 0.000
Sn1 0.500 0.500 0.183
Sn2 0.500 0.500 0.817
Sb1 0.500 0.500 0.500


# 4
RbHgHO2: calculated powder diffraction line list (λ = 1.5418 Å (Cu Kα)), based on a cell relaxed with GGA-PBE.

Top 10 peaks for 2θ from 5° to 70°, low angle first:
d = 5.820 Å, 2θ 15.22, I = 64
d = 4.279 Å, 2θ 20.76, I = 58
d = 3.447 Å, 2θ 25.84, I = 81
d = 2.977 Å, 2θ 30.02, I = 100
d = 2.910 Å, 2θ 30.72, I = 52
d = 2.692 Å, 2θ 33.28, I = 51
d = 2.444 Å, 2θ 36.78, I = 68
d = 2.008 Å, 2θ 45.16, I = 35
d = 1.976 Å, 2θ 45.92, I = 38
d = 1.820 Å, 2θ 50.12, I = 33

Crystal structure
abc: 6.773 6.773 4.279
angles: 90.00 90.00 118.47
Fractional coordinates of all 10 atoms:
Rb1 0.250 0.750 0.760
Rb2 0.750 0.250 0.240
Hg1 0.250 0.250 0.500
Hg2 0.750 0.750 0.500
H1 0.000 0.000 0.000
H2 0.500 0.500 0.000
O1 0.074 0.926 0.209
O2 0.426 0.574 0.209
O3 0.574 0.426 0.791
O4 0.926 0.074 0.791


# 5
NbCo2TeW: calculated powder diffraction line list (λ = 1.5418 Å (Cu Kα)), based on a cell relaxed with GGA-PBE.

Top 10 peaks for 2θ from 5° to 70°, low angle first:
d = 4.426 Å, 2θ 20.06, I = 97
d = 3.129 Å, 2θ 28.52, I = 72
d = 2.650 Å, 2θ 33.83, I = 94
d = 2.490 Å, 2θ 36.07, I = 71
d = 2.213 Å, 2θ 40.78, I = 100
d = 2.170 Å, 2θ 41.61, I = 30
d = 1.979 Å, 2θ 45.85, I = 23
d = 1.949 Å, 2θ 46.61, I = 38
d = 1.654 Å, 2θ 55.56, I = 79
d = 1.565 Å, 2θ 59.04, I = 33

Crystal structure
abc: 4.426 4.426 4.980
angles: 90.00 90.00 90.00
Fractional coordinates of all 5 atoms:
Nb1 0.000 0.000 0.000
Co1 0.000 0.500 0.500
Co2 0.500 0.000 0.500
Te1 0.500 0.500 0.500
W1 0.500 0.500 0.000


# 6
YNp2PaP4: calculated powder diffraction line list (λ = 1.5418 Å (Cu Kα)), based on a cell relaxed with GGA-PBE.

Top 10 peaks for 2θ from 5° to 70°, low angle first:
d = 6.486 Å, 2θ 13.65, I = 11
d = 3.251 Å, 2θ 27.43, I = 76
d = 3.237 Å, 2θ 27.55, I = 25
d = 2.813 Å, 2θ 31.82, I = 100
d = 1.992 Å, 2θ 45.53, I = 37
d = 1.986 Å, 2θ 45.69, I = 37
d = 1.698 Å, 2θ 54.01, I = 29
d = 1.695 Å, 2θ 54.11, I = 12
d = 1.626 Å, 2θ 56.62, I = 20
d = 1.406 Å, 2θ 66.49, I = 12

Crystal structure
abc: 6.873 3.986 6.899
angles: 90.00 109.60 90.00
Fractional coordinates of all 8 atoms:
Y1 0.000 0.000 0.000
Np1 0.500 0.000 0.500
Np2 0.500 0.500 0.000
Pa1 0.000 0.500 0.500
P1 0.251 0.000 0.749
P2 0.254 0.500 0.254
P3 0.746 0.500 0.746
P4 0.749 0.000 0.251


# 7
Cu3As2O8: calculated powder diffraction line list (λ = 1.5418 Å (Cu Kα)), based on a cell relaxed with GGA-PBE.

Top 10 peaks for 2θ from 5° to 70°, low angle first:
d = 4.135 Å, 2θ 21.49, I = 30
d = 3.860 Å, 2θ 23.04, I = 47
d = 3.116 Å, 2θ 28.65, I = 46
d = 3.042 Å, 2θ 29.36, I = 44
d = 2.938 Å, 2θ 30.43, I = 100
d = 2.891 Å, 2θ 30.93, I = 46
d = 2.661 Å, 2θ 33.68, I = 57
d = 2.643 Å, 2θ 33.92, I = 46
d = 2.572 Å, 2θ 34.88, I = 50
d = 1.601 Å, 2θ 57.56, I = 25

Crystal structure
abc: 5.502 11.806 5.171
angles: 90.00 111.97 90.00
Fractional coordinates of all 26 atoms:
Cu1 0.000 0.000 0.000
Cu2 0.000 0.500 0.500
Cu3 0.359 0.164 0.754
Cu4 0.359 0.336 0.254
Cu5 0.641 0.664 0.746
Cu6 0.641 0.836 0.246
As1 0.230 0.614 0.105
As2 0.230 0.886 0.605
As3 0.770 0.114 0.395
As4 0.770 0.386 0.895
O1 0.048 0.185 0.413
O2 0.048 0.315 0.913
O3 0.227 0.011 0.791
O4 0.227 0.489 0.291
O5 0.279 0.582 0.801
O6 0.279 0.918 0.301
O7 0.498 0.189 0.172
O8 0.498 0.311 0.672
O9 0.502 0.689 0.328
O10 0.502 0.811 0.828
O11 0.721 0.082 0.699
O12 0.721 0.418 0.199
O13 0.773 0.511 0.709
O14 0.773 0.989 0.209
O15 0.952 0.685 0.087
O16 0.952 0.815 0.587


# 8
CaNb2H: calculated powder diffraction line list (λ = 1.5418 Å (Cu Kα)), based on a cell relaxed with GGA-PBE.

Top 10 peaks for 2θ from 5° to 70°, low angle first:
d = 5.655 Å, 2θ 15.67, I = 98
d = 2.654 Å, 2θ 33.77, I = 75
d = 2.571 Å, 2θ 34.90, I = 72
d = 2.561 Å, 2θ 35.04, I = 100
d = 2.333 Å, 2θ 38.60, I = 37
d = 1.935 Å, 2θ 46.95, I = 17
d = 1.901 Å, 2θ 47.85, I = 27
d = 1.869 Å, 2θ 48.72, I = 17
d = 1.512 Å, 2θ 61.32, I = 22
d = 1.467 Å, 2θ 63.40, I = 26

Crystal structure
abc: 5.134 11.310 5.128
angles: 90.00 93.52 90.00
Fractional coordinates of all 16 atoms:
Ca1 0.250 0.250 0.000
Ca2 0.250 0.750 0.500
Ca3 0.750 0.250 0.500
Ca4 0.750 0.750 0.000
Nb1 0.236 0.047 0.521
Nb2 0.236 0.953 0.021
Nb3 0.264 0.453 0.479
Nb4 0.264 0.547 0.979
Nb5 0.736 0.453 0.021
Nb6 0.736 0.547 0.521
Nb7 0.764 0.047 0.979
Nb8 0.764 0.953 0.479
H1 0.000 0.450 0.750
H2 0.000 0.550 0.250
H3 0.500 0.050 0.250
H4 0.500 0.950 0.750